Entry 1:
Diffraction record for Ti2VNi. The X-ray powder pattern is theoretical, not measured: it uses a DFT-relaxed cell (PBE, Alexandria) and Cu Kα.

Peak list (8 most intense, 2θ from 5° to 70°, in order of rising 2θ)
h k l  2θ (°)  d/Å  Rel. int.
1 0 0  20.9  4.257  1
0 0 1  28.4  3.142  1
1 1 0  29.7  3.010  1
1 0 1  35.5  2.528  1
1 1 1  41.5  2.174  100
2 0 0  42.5  2.128  47
0 0 2  58.8  1.571  8
2 2 0  61.6  1.505  14

```
data_Ti2VNi
_chemical_formula_sum 'Ti2 V1 Ni1'
_symmetry_space_group_name_H-M 'P 4/m m m'
_symmetry_Int_Tables_number 123
_symmetry_space_group_name_Hall '-P 4 2'
_cell_length_a 4.257
_cell_length_b 4.257
_cell_length_c 3.142
_cell_angle_alpha 90.00
_cell_angle_beta 90.00
_cell_angle_gamma 90.00
loop_
_atom_site_label
_atom_site_fract_x
_atom_site_fract_y
_atom_site_fract_z
Ti1 0.000 0.500 0.000
V1 0.000 0.000 0.500
Ni1 0.500 0.500 0.500
```


Entry 2:
Diffraction record for TmU2TaC4. The X-ray powder pattern is theoretical, not measured: it uses a DFT-relaxed cell (PBE, Alexandria) and Cu Kα.

Peak list (8 most intense, 2θ from 5° to 70°, in order of rising 2θ)
h k l  2θ (°)  d/Å  Rel. int.
0 2 2  31.9  2.807  100
2 0 2  32.5  2.758  96
0 0 4  37.2  2.420  41
2 2 0  37.4  2.404  81
2 2 4  53.7  1.705  57
2 4 2  63.7  1.461  45
4 2 2  64.7  1.440  28
0 4 4  66.6  1.403  15

```
data_TmU2TaC4
_chemical_formula_sum 'Tm4 U8 Ta4 C16'
_symmetry_space_group_name_H-M 'I m m a'
_symmetry_Int_Tables_number 74
_symmetry_space_group_name_Hall '-I 2b 2'
_cell_length_a 6.712
_cell_length_b 6.891
_cell_length_c 9.680
_cell_angle_alpha 90.00
_cell_angle_beta 90.00
_cell_angle_gamma 90.00
loop_
_atom_site_label
_atom_site_fract_x
_atom_site_fract_y
_atom_site_fract_z
Tm1 0.000 0.000 0.000
U1 0.000 0.000 0.500
U2 0.250 0.250 0.250
Ta1 0.250 0.250 0.750
C1 0.000 0.015 0.747
C2 0.235 0.250 0.509
```


Entry 3:
Diffraction record for KMnW2S8. The X-ray powder pattern is theoretical, not measured: it uses a DFT-relaxed cell (PBE, Alexandria) and Cu Kα.

Peak list (8 most intense, 2θ from 5° to 70°, in order of rising 2θ)
h k l  2θ (°)  d/Å  Rel. int.
0 1 2  17.7  5.011  64
1 0 4  20.9  4.260  100
1 1 0  28.8  3.098  42
0 1 8  30.5  2.935  36
0 2 4  35.8  2.505  25
2 1 4  46.6  1.948  24
2 -1 12  48.8  1.865  30
3 0 0  51.1  1.789  23

```
data_KMnW2S8
_chemical_formula_sum 'K3 Mn3 W6 S24'
_symmetry_space_group_name_H-M 'R -3'
_symmetry_Int_Tables_number 148
_symmetry_space_group_name_Hall '-R 3'
_cell_length_a 6.1957
_cell_length_b 6.1957
_cell_length_c 28.0283
_cell_angle_alpha 90.00
_cell_angle_beta 90.00
_cell_angle_gamma 120.00
loop_
_atom_site_label
_atom_site_fract_x
_atom_site_fract_y
_atom_site_fract_z
K1 0.0000 0.0000 0.0000
Mn1 0.0000 0.0000 0.5000
W1 0.0000 0.0000 0.2428
S1 0.0000 0.0000 0.3205
S2 0.0014 0.6814 0.5519
```